(1)
Theoretical XRD peak list
Compound: Na2PdPb2
Radiation: CuKα
Structure: a crystal structure in Alexandria, relaxed with GGA-PBE
Intensities are scaled so that the largest is 100.

Crystal structure
Cell lengths 12.258, 12.258, 12.258 Å; angles 157.63, 157.63, 31.85 degrees
Element x y z (fractional)
Na (0.050, 0.300, 0.750)
Na (0.300, 0.050, 0.250)
Na (0.700, 0.950, 0.750)
Na (0.950, 0.700, 0.250)
Pd (0.375, 0.625, 0.750)
Pd (0.625, 0.375, 0.250)
Pb (0.190, 0.440, 0.750)
Pb (0.440, 0.190, 0.250)
Pb (0.560, 0.810, 0.750)
Pb (0.810, 0.560, 0.250)

The 10 most intense peaks (2θ from 5° to 70°), by angle:
d (Å), 2theta, intensity
4.662, 19.0, 63.9
4.069, 21.8, 36.7
3.349, 26.6, 90.4
3.234, 27.6, 34.2
2.555, 35.1, 100.0
2.378, 37.8, 60.3
1.954, 46.5, 22.7
1.939, 46.9, 40.3
1.930, 47.1, 25.6
1.405, 66.6, 31.2

(2)
Theoretical XRD peak list
Compound: K3Cd2Sb4Pb2
Radiation: CuKα
Structure: a crystal structure in Alexandria, relaxed with GGA-PBE
Intensities are scaled so that the largest is 100.

Crystal structure
Cell lengths 5.012, 5.012, 19.021 Å; angles 90.00, 90.00, 120.00 degrees
Element x y z (fractional)
K (0.000, 0.000, 0.000)
K (0.000, 0.000, 0.265)
K (0.000, 0.000, 0.735)
Cd (0.333, 0.667, 0.134)
Cd (0.667, 0.333, 0.866)
Sb (0.333, 0.667, 0.388)
Sb (0.333, 0.667, 0.866)
Sb (0.667, 0.333, 0.134)
Sb (0.667, 0.333, 0.612)
Pb (0.333, 0.667, 0.558)
Pb (0.667, 0.333, 0.442)

The 10 most intense peaks (2θ from 5° to 70°), by angle:
d (Å), 2theta, intensity
9.510, 9.3, 29.1
6.340, 14.0, 30.4
4.755, 18.7, 30.3
4.340, 20.5, 49.6
3.582, 24.9, 34.2
3.206, 27.8, 69.3
2.861, 31.3, 31.3
2.560, 35.1, 32.6
2.506, 35.8, 100.0
1.842, 49.5, 34.0

(3)
Theoretical XRD peak list
Compound: Cs2BeTeS
Radiation: CuKα
Structure: a crystal structure in Alexandria, relaxed with GGA-PBE
Intensities are scaled so that the largest is 100.

Crystal structure
Cell lengths 8.181, 4.278, 11.781 Å; angles 90.00, 110.30, 90.00 degrees
Element x y z (fractional)
Cs (0.191, 0.250, 0.397)
Cs (0.223, 0.250, 0.958)
Cs (0.777, 0.750, 0.042)
Cs (0.809, 0.750, 0.603)
Be (0.473, 0.750, 0.249)
Be (0.527, 0.250, 0.751)
Te (0.353, 0.750, 0.706)
Te (0.647, 0.250, 0.294)
S (0.222, 0.750, 0.183)
S (0.778, 0.250, 0.817)

The 10 most intense peaks (2θ from 5° to 70°), by angle:
d (Å), 2theta, intensity
3.889, 22.9, 20.1
3.836, 23.2, 62.1
3.737, 23.8, 17.5
3.377, 26.4, 100.0
3.288, 27.1, 19.8
2.945, 30.4, 32.9
2.878, 31.1, 22.4
2.856, 31.3, 46.1
2.062, 43.9, 24.2
1.868, 48.7, 16.4